Diffraction record for Ba5Cd2O2. The powder diffractogram is computed, not measured: it uses a structure optimized by DFT (PBE) and Cu Kα, 1.54184 Å.
Lines closer than 0.1° are merged.

Cell and atoms:
Lattice parameters (Å, degrees): 22.1729 7.8425 7.6996 90.00 90.00 90.00
Space group Ima2 (No. 46)
Asymmetric unit:
Ba 0.0055 0.2479 0.0000 [8 per cell]
Ba 0.1447 0.5302 0.7651 [8 per cell]
Ba 0.2500 0.1233 0.8684 [4 per cell]
Cd 0.1067 0.5075 0.2476 [8 per cell]
O 0.0000 0.0000 0.2579 [4 per cell]
O 0.2500 0.0886 0.2081 [4 per cell]

Main lines, by angle (2θ = 10–80°):
Position (°2θ)  I_rel  (hkl)
27.87  97  4 2 0
28.22  100  4 0 2
29.12  65  6 1 1
32.30  38  8 0 0
32.60  89  0 2 2
55.70  41  4 2 4

***

Diffraction record for BaCd2Os2O7. The powder diffractogram is computed, not measured: it uses a structure optimized by DFT (PBE) and Cu Kα, 1.54184 Å.
Lines closer than 0.1° are merged.

Cell and atoms:
Lattice parameters (Å, degrees): 3.7946 18.7307 4.8491 90.00 90.00 90.00
Space group Imm2 (No. 44)
Asymmetric unit:
Ba 0.0000 0.0000 0.0000 [2 per cell]
Cd 0.0000 0.2824 0.4307 [4 per cell]
Os 0.0000 0.3959 0.9830 [4 per cell]
O 0.0000 0.1041 0.5035 [4 per cell]
O 0.0000 0.2848 0.9249 [4 per cell]
O 0.0000 0.3979 0.5737 [4 per cell]
O 0.0000 0.5000 0.0887 [2 per cell]

Main lines, by angle (2θ = 10–80°):
Position (°2θ)  I_rel  (hkl)
23.93  23  1 1 0
27.51  50  1 3 0
30.15  100  0 5 1
31.42  67  1 2 1
37.08  39  0 0 2
57.69  32  2 5 1

***

Diffraction record for Ba2CdP3O11. The powder diffractogram is computed, not measured: it uses a structure optimized by DFT (PBE) and Cu Kα, 1.54184 Å.
Lines closer than 0.1° are merged.

Cell and atoms:
Lattice parameters (Å, degrees): 14.0814 5.6724 7.3694 90.00 121.49 90.00
Space group Cm (No. 8)
Asymmetric unit:
Ba 0.0000 0.0000 0.0000 [2 per cell]
Ba 0.1000 0.5000 0.5993 [2 per cell]
Cd 0.3002 0.0000 0.0663 [2 per cell]
P 0.1781 0.5000 0.1433 [2 per cell]
P 0.2996 0.0000 0.6513 [2 per cell]
P 0.4216 0.5000 0.3872 [2 per cell]
O 0.0075 0.0000 0.6235 [2 per cell]
O 0.0918 0.5000 0.2070 [2 per cell]
O 0.1700 0.2779 0.0144 [4 per cell]
O 0.1934 0.0000 0.4278 [2 per cell]
O 0.3002 0.2194 0.7809 [4 per cell]
O 0.2997 0.5000 0.3622 [2 per cell]
O 0.4049 0.0000 0.6366 [2 per cell]
O 0.4299 0.2780 0.2747 [4 per cell]

Main lines, by angle (2θ = 10–80°):
Position (°2θ)  I_rel  (hkl)
24.74  81  3 1 -1
27.27  100  3 1 0
28.42  50  0 0 2
29.84  40  1 1 -2
31.54  43  0 2 0
42.97  46  0 2 2

***

Diffraction record for BaCdP2O6. The powder diffractogram is computed, not measured: it uses a structure optimized by DFT (PBE) and Cu Kα, 1.54184 Å.
Lines closer than 0.1° are merged.

Cell and atoms:
Lattice parameters (Å, degrees): 5.4788 5.4788 19.3427 90.00 90.00 120.00
Space group R-3 (No. 148, hexagonal axes)
Asymmetric unit:
Ba 0.0000 0.0000 0.0000 [3 per cell]
Cd 0.0000 0.0000 0.5000 [3 per cell]
P 0.0000 0.0000 0.2557 [6 per cell]
O 0.0244 0.2865 0.2373 [18 per cell]

Main lines, by angle (2θ = 10–80°):
Position (°2θ)  I_rel  (hkl)
20.85  39  0 1 2
26.31  100  1 0 4
32.69  36  1 1 0
41.94  25  0 1 8
43.34  23  2 -1 6
54.58  19  2 1 4

***

Diffraction record for Ba2CdPbO4. The powder diffractogram is computed, not measured: it uses a structure optimized by DFT (PBE) and Cu Kα, 1.54184 Å.
Lines closer than 0.1° are merged.

Cell and atoms:
Lattice parameters (Å, degrees): 7.5034 7.6053 10.5804 90.00 90.00 90.00
Space group Imma (No. 74)
Asymmetric unit:
Ba 0.0000 0.0000 0.0000 [4 per cell]
Ba 0.2500 0.2500 0.2500 [4 per cell]
Cd 0.0000 0.0000 0.5000 [4 per cell]
Pb 0.2500 0.2500 0.7500 [4 per cell]
O 0.0000 0.0039 0.7391 [8 per cell]
O 0.2360 0.2500 0.5038 [8 per cell]

Main lines, by angle (2θ = 10–80°):
Position (°2θ)  I_rel  (hkl)
28.92  92  0 2 2
29.18  90  2 0 2
33.56  100  2 2 0
33.89  49  0 0 4
48.45  86  4 0 0
57.03  29  2 4 2

***

Diffraction record for Ba2Cd2RhO6. The powder diffractogram is computed, not measured: it uses a structure optimized by DFT (PBE) and Cu Kα, 1.54184 Å.
Lines closer than 0.1° are merged.

Cell and atoms:
Lattice parameters (Å, degrees): 6.3063 6.3063 16.6840 90.00 90.00 120.00
Space group R-3m (No. 166, hexagonal axes)
Asymmetric unit:
Ba 0.0000 0.0000 0.2055 [6 per cell]
Cd 0.0000 0.0000 0.4011 [6 per cell]
Rh 0.0000 0.0000 0.0000 [3 per cell]
O 0.0493 0.5247 0.7466 [18 per cell]

Main lines, by angle (2θ = 10–80°):
Position (°2θ)  I_rel  (hkl)
28.30  100  1 1 0
31.42  78  0 1 5
42.79  34  2 0 5
50.11  20  3 0 0
52.10  43  1 2 5
58.55  17  2 2 0

***

Diffraction record for BaCd2RhO5. The powder diffractogram is computed, not measured: it uses a structure optimized by DFT (PBE) and Cu Kα, 1.54184 Å.
Lines closer than 0.1° are merged.

Cell and atoms:
Lattice parameters (Å, degrees): 3.7941 5.8386 11.5621 90.00 90.00 90.00
Space group Immm (No. 71)
Asymmetric unit:
Ba 0.0000 0.0000 0.0000 [2 per cell]
Cd 0.0000 0.5000 0.2169 [4 per cell]
Rh 0.0000 0.0000 0.5000 [2 per cell]
O 0.0000 0.2343 0.3649 [8 per cell]
O 0.0000 0.5000 0.0000 [2 per cell]

Main lines, by angle (2θ = 10–80°):
Position (°2θ)  I_rel  (hkl)
30.62  27  0 2 0
30.94  18  0 0 4
32.11  100  1 1 2
44.09  24  0 2 4
47.96  13  2 0 0
55.39  21  1 3 2

***

Diffraction record for Ba7CdSb2O2. The powder diffractogram is computed, not measured: it uses a structure optimized by DFT (PBE) and Cu Kα, 1.54184 Å.
Lines closer than 0.1° are merged.

Cell and atoms:
Lattice parameters (Å, degrees): 5.3768 5.3768 30.2789 90.00 90.00 90.00
Space group I4/mmm (No. 139)
Asymmetric unit:
Ba 0.0000 0.0000 0.0000 [2 per cell]
Ba 0.0000 0.0000 0.2030 [4 per cell]
Ba 0.0000 0.5000 0.0994 [8 per cell]
Cd 0.0000 0.0000 0.5000 [2 per cell]
Sb 0.0000 0.0000 0.3189 [4 per cell]
O 0.0000 0.0000 0.0964 [4 per cell]

Main lines, by angle (2θ = 10–80°):
Position (°2θ)  I_rel  (hkl)
26.23  57  1 1 4
29.44  100  0 0 10
33.34  60  2 0 0
45.10  35  2 0 10
47.85  19  2 2 0
57.19  39  2 2 10

***

Diffraction record for Ba5Cd2Sb4O2. The powder diffractogram is computed, not measured: it uses a structure optimized by DFT (PBE) and Cu Kα, 1.54184 Å.
Lines closer than 0.1° are merged.

Cell and atoms:
Lattice parameters (Å, degrees): 17.5287 4.9958 12.4327 90.00 132.38 90.00
Space group C2/m (No. 12)
Asymmetric unit:
Ba 0.0000 0.0000 0.0000 [2 per cell]
Ba 0.0249 0.0000 0.7027 [4 per cell]
Ba 0.1996 0.5000 0.3480 [4 per cell]
Cd 0.2387 0.5000 0.8772 [4 per cell]
Sb 0.1068 0.5000 0.5661 [4 per cell]
Sb 0.1347 0.5000 0.9903 [4 per cell]
O 0.1274 0.0000 0.3076 [4 per cell]

Main lines, by angle (2θ = 10–80°):
Position (°2θ)  I_rel  (hkl)
27.31  100  3 1 0
27.99  73  3 1 -3
30.46  51  1 1 2
30.63  43  6 0 -3
31.38  69  2 0 -4
35.95  58  0 2 0

***

Diffraction record for BaCd3Se4O12. The powder diffractogram is computed, not measured: it uses a structure optimized by DFT (PBE) and Cu Kα, 1.54184 Å.
Lines closer than 0.1° are merged.

Cell and atoms:
Lattice parameters (Å, degrees): 11.4436 11.4436 8.7420 90.00 90.00 120.00
Space group R32 (No. 155, hexagonal axes)
Asymmetric unit:
Ba 0.0000 0.0000 0.0000 [3 per cell]
Cd 0.0000 0.5677 0.0000 [9 per cell]
Se 0.0000 0.0000 0.5000 [3 per cell]
Se 0.0000 0.4034 0.5000 [9 per cell]
O 0.0000 0.5538 0.5000 [9 per cell]
O 0.0000 0.8400 0.5000 [9 per cell]
O 0.0386 0.1914 0.2053 [18 per cell]

Main lines, by angle (2θ = 10–80°):
Position (°2θ)  I_rel  (hkl)
25.88  41  2 1 1
26.99  25  3 0 0
27.20  100  2 0 2
34.20  33  1 3 1
34.54  28  1 1 3
44.94  23  2 3 2

***

Diffraction record for BaCd2TcO5. The powder diffractogram is computed, not measured: it uses a structure optimized by DFT (PBE) and Cu Kα, 1.54184 Å.
Lines closer than 0.1° are merged.

Cell and atoms:
Lattice parameters (Å, degrees): 3.8027 5.8916 11.5344 90.00 90.00 90.00
Space group Immm (No. 71)
Asymmetric unit:
Ba 0.0000 0.0000 0.0000 [2 per cell]
Cd 0.0000 0.5000 0.2202 [4 per cell]
Tc 0.0000 0.0000 0.5000 [2 per cell]
O 0.0000 0.2368 0.3667 [8 per cell]
O 0.0000 0.5000 0.0000 [2 per cell]

Main lines, by angle (2θ = 10–80°):
Position (°2θ)  I_rel  (hkl)
30.34  27  0 2 0
31.01  18  0 0 4
32.02  100  1 1 2
43.94  25  0 2 4
54.98  21  1 3 2
66.97  13  2 2 4

***

Diffraction record for BaCdTeO4. The powder diffractogram is computed, not measured: it uses a structure optimized by DFT (PBE) and Cu Kα, 1.54184 Å.
Lines closer than 0.1° are merged.

Cell and atoms:
Lattice parameters (Å, degrees): 9.4499 9.4499 9.4499 90.00 90.00 90.00
Space group F-43m (No. 216)
Asymmetric unit:
Ba 0.0000 0.0000 0.0000 [4 per cell]
Cd 0.2500 0.2500 0.7500 [4 per cell]
Te 0.0000 0.0000 0.5000 [4 per cell]
O 0.1192 0.1192 0.6192 [16 per cell]

Main lines, by angle (2θ = 10–80°):
Position (°2θ)  I_rel  (hkl)
16.25  31  1 1 1
18.78  18  2 0 0
26.68  100  2 2 0
47.11  42  4 2 2
62.12  18  6 2 0
75.25  20  6 4 2